For Mg2TaMnO6, a structure optimized by DFT (PBE+U) gives the simulated powder XRD pattern in this record (Cu Ka).

Atomic structure:
a = 5.244 Å, b = 7.516 Å, c = 5.493 Å
α = 90.00°, β = 94.71°, γ = 90.00°
Element x y z (fractional)
Mg: 0.002 0.250 0.061
Mg: 0.484 0.750 0.450
Mg: 0.516 0.250 0.550
Mg: 0.998 0.750 0.939
Ta: 0.500 0.000 0.000
Ta: 0.500 0.500 0.000
Mn: 0.000 0.000 0.500
Mn: 0.000 0.500 0.500
O: 0.128 0.250 0.431
O: 0.197 0.570 0.165
O: 0.197 0.930 0.165
O: 0.325 0.563 0.676
O: 0.325 0.937 0.676
O: 0.364 0.250 0.945
O: 0.636 0.750 0.055
O: 0.675 0.063 0.324
O: 0.675 0.437 0.324
O: 0.803 0.070 0.835
O: 0.803 0.430 0.835
O: 0.872 0.750 0.569

Top 10 peaks for 10° ≤ 2θ ≤ 90°, in order of rising 2θ:
2theta	intensity	(hkl)
16.19	50	0 0 1
16.97	47	1 0 0
22.53	59	1 0 -1
23.68	54	0 2 0
24.49	51	1 0 1
29.27	26	1 2 0
32.72	43	0 0 2
32.92	81	1 2 -1
34.32	100	1 2 1
59.68	42	3 2 -1